The following is a simulated PXRD pattern of V4OF11. It was derived from the PBE+U geometry in Alexandria, using copper Kα.
Kinematic intensities with the Lorentz-polarization factor, no thermal factor.

Principal peaks in the range 10 to 80 degrees two-theta, low angle first:
2θ/deg, intensity
20.5, 100
20.8, 39
21.0, 56
21.3, 63
24.2, 71
24.3, 70
27.9, 77
28.1, 79
41.7, 64
42.6, 49
42.8, 48
48.9, 47

Structural model:
```
data_V4OF11
_chemical_formula_sum 'V4 O1 F11'
_cell_length_a 4.973
_cell_length_b 5.043
_cell_length_c 9.644
_cell_angle_alpha 96.32
_cell_angle_beta 95.34
_cell_angle_gamma 119.48
_space_group_name_H-M_alt 'P 1'
_space_group_IT_number 1
_space_group_name_Hall 'P 1'
loop_
_atom_site_label
_atom_site_type_symbol
_atom_site_fract_x
_atom_site_fract_y
_atom_site_fract_z
V1 V 0.000 0.000 0.000
V2 V 0.087 0.709 0.258
V3 V 0.585 0.234 0.748
V4 V 0.800 0.811 0.518
O1 O 0.787 0.146 0.639
F1 F 0.050 0.355 0.130
F2 F 0.094 0.045 0.394
F3 F 0.173 0.879 0.644
F4 F 0.294 0.249 0.878
F5 F 0.331 0.997 0.131
F6 F 0.442 0.746 0.384
F7 F 0.530 0.512 0.635
F8 F 0.640 0.986 0.885
F9 F 0.757 0.720 0.130
F10 F 0.801 0.473 0.385
F11 F 0.910 0.609 0.877
```